Starting from DFT lattice parameters and positions (PBE), the PXRD pattern of K2Na2Cd3 was computed for Cu Kα (λ = 1.5418 Å).
Kinematic intensities with the Lorentz-polarization factor, no thermal factor.

Structure:
a b c (Å): 7.104 7.104 8.116
angles (deg): 119.35 119.35 46.07
Element x y z (fractional)
K (0.164, 0.164, 0.275)
K (0.836, 0.836, 0.725)
Na (0.142, 0.142, 0.769)
Na (0.858, 0.858, 0.231)
Cd (0.433, 0.433, 0.099)
Cd (0.500, 0.500, 0.500)
Cd (0.567, 0.567, 0.901)

Top 12 peaks for 10 to 80 degrees two-theta, by angle:
two_theta  Rel. int.
16.02  48
17.85  100
25.97  21
27.61  28
27.82  21
29.08  65
32.20  43
33.45  22
35.14  41
37.12  30
37.46  20
39.01  19

***

Starting from DFT lattice parameters and positions (PBE), the PXRD pattern of SrYCdHg was computed for Cu Kα (λ = 1.5418 Å).
Kinematic intensities with the Lorentz-polarization factor, no thermal factor.

Structure:
a b c (Å): 3.871 3.871 7.771
angles (deg): 90.00 90.00 90.00
Element x y z (fractional)
Sr (0.000, 0.000, 0.000)
Y (0.000, 0.000, 0.492)
Cd (0.500, 0.500, 0.716)
Hg (0.500, 0.500, 0.279)

Top 12 peaks for 10 to 80 degrees two-theta, by angle:
two_theta  Rel. int.
11.39  9
22.95  9
25.71  5
32.68  100
41.97  6
46.76  4
46.95  13
48.40  5
58.23  9
58.36  24
68.42  5
78.06  11

***

Starting from DFT lattice parameters and positions (PBE), the PXRD pattern of Na3NbAg was computed for Cu Kα (λ = 1.5418 Å).
Kinematic intensities with the Lorentz-polarization factor, no thermal factor.

Structure:
a b c (Å): 5.473 5.473 5.473
angles (deg): 90.00 90.00 90.00
Element x y z (fractional)
Na (0.000, 0.000, 0.500)
Na (0.000, 0.500, 0.000)
Na (0.500, 0.000, 0.000)
Nb (0.500, 0.500, 0.500)
Ag (0.000, 0.000, 0.000)

Top 12 peaks for 10 to 80 degrees two-theta, by angle:
two_theta  Rel. int.
16.20  5
22.98  100
28.24  4
32.73  47
40.37  45
46.96  33
52.91  20
58.42  11
63.62  22
68.59  5
73.41  11
78.10  13

***

Starting from DFT lattice parameters and positions (PBE), the PXRD pattern of CsTl3Pt was computed for Cu Kα (λ = 1.5418 Å).
Kinematic intensities with the Lorentz-polarization factor, no thermal factor.

Structure:
a b c (Å): 10.613 10.613 5.664
angles (deg): 90.14 90.14 35.00
Element x y z (fractional)
Cs (0.186, 0.186, 0.252)
Cs (0.814, 0.814, 0.748)
Tl (0.075, 0.799, 0.249)
Tl (0.201, 0.925, 0.751)
Tl (0.402, 0.474, 0.749)
Tl (0.516, 0.240, 0.248)
Tl (0.526, 0.598, 0.251)
Tl (0.760, 0.484, 0.752)
Pt (0.803, 0.197, 0.000)
Pt (0.804, 0.196, 0.500)

Top 12 peaks for 10 to 80 degrees two-theta, by angle:
two_theta  Rel. int.
24.82  46
26.06  36
30.54  100
31.59  29
33.42  82
34.04  34
34.94  28
36.89  26
37.20  37
42.66  52
44.66  27
63.45  25

***

Starting from DFT lattice parameters and positions (PBE), the PXRD pattern of TbTaFe10 was computed for Cu Kα (λ = 1.5418 Å).
Kinematic intensities with the Lorentz-polarization factor, no thermal factor.

Structure:
a b c (Å): 3.974 4.841 8.374
angles (deg): 90.00 90.00 90.00
Element x y z (fractional)
Tb (0.000, 0.000, 0.000)
Ta (0.000, 0.500, 0.500)
Fe (0.000, 0.000, 0.344)
Fe (0.000, 0.000, 0.656)
Fe (0.000, 0.500, 0.181)
Fe (0.000, 0.500, 0.819)
Fe (0.500, 0.000, 0.500)
Fe (0.500, 0.254, 0.259)
Fe (0.500, 0.254, 0.741)
Fe (0.500, 0.500, 0.000)
Fe (0.500, 0.746, 0.259)
Fe (0.500, 0.746, 0.741)

Top 12 peaks for 10 to 80 degrees two-theta, by angle:
two_theta  Rel. int.
21.21  6
22.37  10
31.02  62
37.17  34
43.19  36
43.82  100
45.66  27
60.28  16
63.21  17
64.66  21
71.62  21
79.20  14

***

Starting from DFT lattice parameters and positions (PBE), the PXRD pattern of K13Pb2 was computed for Cu Kα (λ = 1.5418 Å).
Kinematic intensities with the Lorentz-polarization factor, no thermal factor.

Structure:
a b c (Å): 10.673 10.673 10.673
angles (deg): 63.79 63.79 63.79
Element x y z (fractional)
K (0.000, 0.000, 0.000)
K (0.117, 0.117, 0.495)
K (0.117, 0.495, 0.117)
K (0.292, 0.292, 0.704)
K (0.292, 0.704, 0.292)
K (0.296, 0.708, 0.708)
K (0.495, 0.117, 0.117)
K (0.505, 0.883, 0.883)
K (0.704, 0.292, 0.292)
K (0.708, 0.296, 0.708)
K (0.708, 0.708, 0.296)
K (0.883, 0.505, 0.883)
K (0.883, 0.883, 0.505)
Pb (0.136, 0.136, 0.136)
Pb (0.864, 0.864, 0.864)

Top 12 peaks for 10 to 80 degrees two-theta, by angle:
two_theta  Rel. int.
10.46  62
15.72  60
16.67  38
18.92  50
24.37  100
26.23  32
26.35  26
27.97  78
29.93  32
30.72  26
31.74  48
34.75  37